1.
Structure and computed X-ray diffraction stick pattern of Na2Sn2S5 (a DFT-relaxed cell (PBE, Alexandria); Cu Ka).
No peak broadening, texture or thermal motion is included.

Cell and atoms:
```
Na2Sn2S5
1.0
-8.6192 3.6222 3.4894
8.6192 -3.6222 3.4894
8.6192 3.6222 -3.4894
Na Sn S
4 4 10
Direct
0.0293 0.0980 0.1273
0.0293 0.4020 0.4312
0.9707 0.5980 0.5688
0.9707 0.9020 0.8727
0.3922 0.7266 0.1656
0.5187 0.0187 0.5000
0.5187 0.5187 0.0000
0.5610 0.2266 0.8344
0.0148 0.3659 0.1489
0.0358 0.3115 0.7988
0.0358 0.7370 0.2243
0.2170 0.8659 0.8511
0.4882 0.2330 0.5414
0.4882 0.4468 0.7552
0.5128 0.2370 0.2012
0.5128 0.8115 0.7757
0.6916 0.7330 0.2448
0.6916 0.9468 0.4586
```

Largest 6 diffraction maxima, by angle, 2θ from 5° to 70°:
d (Å), Position (°2θ), intensity
5.026, 17.6, 100.0
4.310, 20.6, 40.1
3.489, 25.5, 34.6
3.272, 27.3, 73.1
2.513, 35.7, 38.0
1.970, 46.1, 36.5


2.
Structure and computed X-ray diffraction stick pattern of Fe2Sb8Rh (a DFT-relaxed cell (PBE, Alexandria); Cu Ka).
No peak broadening, texture or thermal motion is included.

Cell and atoms:
```
Fe2Sb8Rh
1.0
8.1828 0.0000 0.0000
-4.0914 7.0865 0.0000
0.0000 0.0000 4.8438
Fe Sb Rh
2 8 1
Direct
0.3333 0.6667 0.2474
0.6667 0.3333 0.7526
0.1579 0.3159 0.2008
0.1579 0.8421 0.2008
0.3159 0.1579 0.7992
0.3333 0.6667 0.7396
0.6667 0.3333 0.2604
0.6841 0.8421 0.2008
0.8421 0.1579 0.7992
0.8421 0.6841 0.7992
0.0000 0.0000 0.5000
```

Largest 6 diffraction maxima, by angle, 2θ from 5° to 70°:
d (Å), Position (°2θ), intensity
3.543, 25.1, 31.0
2.860, 31.3, 100.0
2.046, 44.3, 48.5
1.999, 45.4, 29.4
1.664, 55.2, 18.5
1.563, 59.1, 20.0


3.
Structure and computed X-ray diffraction stick pattern of MnCdTcH (a DFT-relaxed cell (PBE, Alexandria); Cu Ka).
No peak broadening, texture or thermal motion is included.

Cell and atoms:
```
MnCdTcH
1.0
-1.3994 1.3994 6.2248
1.3994 -1.3994 6.2248
1.3994 1.3994 -6.2248
Mn Cd Tc H
1 1 1 1
Direct
0.0000 0.0000 0.0000
0.3033 0.3033 0.0000
0.6216 0.6216 0.0000
0.4763 0.4763 0.0000
```

Largest 6 diffraction maxima, by angle, 2θ from 5° to 70°:
d (Å), Position (°2θ), intensity
3.112, 28.7, 12.5
2.320, 38.8, 100.0
2.075, 43.6, 13.5
1.979, 45.9, 34.2
1.501, 61.8, 11.7
1.432, 65.1, 15.5


4.
Structure and computed X-ray diffraction stick pattern of Ho2Er2Sc5 (a DFT-relaxed cell (PBE, Alexandria); Cu Ka).
No peak broadening, texture or thermal motion is included.

Cell and atoms:
```
Ho2Er2Sc5
1.0
3.4246 0.0000 0.0000
-0.2137 8.4462 0.0000
-0.1129 -1.4231 8.5867
Ho Er Sc
2 2 5
Direct
0.2285 0.3488 0.1254
0.7715 0.6512 0.8746
0.2154 0.8496 0.5826
0.7846 0.1504 0.4174
0.2376 0.3055 0.7398
0.2648 0.9480 0.1278
0.5000 0.5000 0.5000
0.7352 0.0520 0.8722
0.7624 0.6945 0.2602
```

Largest 6 diffraction maxima, by angle, 2θ from 5° to 70°:
d (Å), Position (°2θ), intensity
5.544, 16.0, 90.3
3.269, 27.3, 54.5
2.856, 31.3, 56.8
2.775, 32.3, 100.0
2.682, 33.4, 63.9
2.654, 33.8, 47.8